1.
The following is a theoretical PXRD pattern of In2Sn3HgI8. It was derived from a structure optimized by DFT (PBE), using CuKα.

The 12 most intense peaks (5° ≤ 2θ ≤ 70°), by intensity:
d 3.484, intensity 100, hkl 0 2 4
d 2.870, intensity 89, hkl 0 2 7
d 2.292, intensity 89, hkl 2 2 0
d 4.144, intensity 65, hkl 1 1 3
d 2.681, intensity 64, hkl 2 0 8
d 3.830, intensity 39, hkl 2 0 2
d 1.480, intensity 31, hkl 2 2 15
d 9.693, intensity 30, hkl 0 0 3
d 2.200, intensity 29, hkl 2 0 11
d 5.362, intensity 26, hkl 1 0 4
d 1.791, intensity 25, hkl 4 0 7
d 4.692, intensity 23, hkl 0 1 5

Cell and atoms:
a = 9.1680 Å, b = 9.1680 Å, c = 29.0780 Å
α = 90.00°, β = 90.00°, γ = 120.00°
Space group R3m (No. 160, hexagonal axes)
Unique sites:
1 In 0.0000 0.0000 0.0000 [3 per cell]
2 In 0.0000 0.0000 0.3418 [3 per cell]
3 Sn 0.1714 0.3428 0.1970 [9 per cell]
4 Hg 0.0000 0.0000 0.7193 [3 per cell]
5 I 0.0000 0.0000 0.1335 [3 per cell]
6 I 0.0000 0.0000 0.5945 [3 per cell]
7 I 0.0126 0.5063 0.1387 [9 per cell]
8 I 0.1704 0.3407 0.9373 [9 per cell]

***

2.
The following is a theoretical PXRD pattern of TlInHgI2. It was derived from a structure optimized by DFT (PBE), using CuKα.

The 12 most intense peaks (5° ≤ 2θ ≤ 70°), by intensity:
d 3.297, intensity 100, hkl 1 1 -2
d 2.674, intensity 97, hkl 2 1 2
d 2.810, intensity 82, hkl 2 1 -2
d 2.962, intensity 74, hkl 3 0 0
d 3.479, intensity 67, hkl 0 1 2
d 2.465, intensity 61, hkl 0 0 4
d 2.455, intensity 59, hkl 0 2 0
d 3.185, intensity 52, hkl 1 1 2
d 6.852, intensity 44, hkl 1 0 -1
d 1.739, intensity 42, hkl 0 2 4
d 1.890, intensity 41, hkl 3 2 0
d 1.552, intensity 39, hkl 5 1 2

Cell and atoms:
a = 8.9097 Å, b = 4.9097 Å, c = 9.8858 Å
α = 90.00°, β = 94.14°, γ = 90.00°
Space group P2_1/m (No. 11)
Unique sites:
1 Tl 0.1938 0.2500 0.1355 [2 per cell]
2 In 0.2199 0.2500 0.6346 [2 per cell]
3 Hg 0.5000 0.2500 0.3796 [2 per cell]
4 I 0.1441 0.7500 0.3831 [2 per cell]
5 I 0.1872 0.7500 0.8823 [2 per cell]

***

3.
The following is a theoretical PXRD pattern of Zn2In2HgI6. It was derived from a structure optimized by DFT (PBE), using CuKα.

The 12 most intense peaks (5° ≤ 2θ ≤ 70°), by intensity:
d 3.415, intensity 100, hkl -1 1 2
d 3.180, intensity 31, hkl 1 -2 2
d 2.741, intensity 22, hkl 2 -1 2
d 2.142, intensity 21, hkl 2 2 -1
d 3.511, intensity 20, hkl 0 2 0
d 4.127, intensity 19, hkl 1 1 0
d 3.391, intensity 18, hkl 2 0 -1
d 6.839, intensity 17, hkl 1 0 0
d 3.469, intensity 16, hkl 1 1 -2
d 3.616, intensity 16, hkl 0 2 -1
d 2.926, intensity 15, hkl 0 1 -3
d 3.372, intensity 14, hkl 1 1 1

Cell and atoms:
a = 7.5200 Å, b = 7.9008 Å, c = 8.8826 Å
α = 103.01°, β = 94.37°, γ = 112.39°
Space group P-1 (No. 2)
Unique sites:
1 Zn 0.1705 0.1769 0.1641 [2 per cell]
2 In 0.1968 0.3253 0.7328 [2 per cell]
3 Hg 0.0000 0.5000 0.5000 [1 per cell]
4 I 0.2266 0.9730 0.8933 [2 per cell]
5 I 0.2816 0.0763 0.3994 [2 per cell]
6 I 0.3003 0.5298 0.1629 [2 per cell]

***

4.
The following is a theoretical PXRD pattern of Pr4HgIrI2. It was derived from a structure optimized by DFT (PBE), using CuKα.

The 12 most intense peaks (5° ≤ 2θ ≤ 70°), by intensity:
d 3.193, intensity 100, hkl 1 1 1
d 3.288, intensity 45, hkl 2 0 -2
d 8.186, intensity 34, hkl 0 0 1
d 2.221, intensity 34, hkl 3 1 -1
d 2.367, intensity 28, hkl 1 1 -3
d 2.422, intensity 19, hkl 2 0 2
d 2.123, intensity 17, hkl 0 2 0
d 1.784, intensity 16, hkl 2 2 -2
d 1.597, intensity 10, hkl 2 2 2
d 2.560, intensity 10, hkl 1 1 2
d 1.866, intensity 10, hkl 4 0 0
d 2.603, intensity 9, hkl 2 0 -3

Cell and atoms:
a = 7.8198 Å, b = 4.2461 Å, c = 8.5749 Å
α = 90.00°, β = 107.31°, γ = 90.00°
Space group P2/m (No. 10)
Unique sites:
1 Pr 0.2200 0.0000 0.1899 [2 per cell]
2 Pr 0.2240 0.5000 0.8014 [2 per cell]
3 Hg 0.5000 0.0000 0.0000 [1 per cell]
4 Ir 0.0000 0.5000 0.0000 [1 per cell]
5 I 0.0000 0.0000 0.5000 [1 per cell]
6 I 0.5000 0.5000 0.5000 [1 per cell]